The following is a calculated powder diffractogram of HoMnO3. It was derived from a crystal structure in the Materials Project, relaxed with PBE+U, using a wavelength of 1.5418 Å.
No peak broadening, texture or thermal motion is included.

Atomic structure:
```
data_HoMnO3
_chemical_formula_sum 'Ho4 Mn4 O12'
_cell_length_a 5.9763
_cell_length_b 13.0749
_cell_length_c 3.3746
_cell_angle_alpha 90.00
_cell_angle_beta 90.00
_cell_angle_gamma 90.00
_symmetry_space_group_name_H-M 'P n m a'
_symmetry_Int_Tables_number 62
_symmetry_space_group_name_Hall '-P 2ac 2n'
loop_
_atom_site_label
_atom_site_fract_x
_atom_site_fract_y
_atom_site_fract_z
Ho1 0.1892 0.2500 0.2413
Mn1 0.0000 0.0000 0.5000
O1 0.0508 0.7500 0.2550
O2 0.2378 0.0782 0.2227
```

Top 6 peaks for 15° ≤ 2θ ≤ 90°, most intense first:
- 27.3°, rel. 100
- 40.9°, rel. 29
- 56.3°, rel. 24
- 33.0°, rel. 24
- 42.7°, rel. 17
- 30.7°, rel. 16